Diffraction record for VCdW. The powder X-ray diffraction pattern is theoretical, not measured: it uses a structure optimized by DFT (GGA-PBE) and Cu Ka.
No peak broadening, texture or thermal motion is included.

Principal peaks in the range 2θ = 15–90°, low angle first:
2θ = 17.54°, I 29
2θ = 21.73°, I 81
2θ = 33.20°, I 29
2θ = 35.51°, I 45
2θ = 37.82°, I 71
2θ = 38.04°, I 36
2θ = 42.02°, I 54
2θ = 44.04°, I 100
2θ = 48.00°, I 28
2θ = 69.73°, I 23

Atomic structure:
Unit cell a=6.502 b=5.730 c=4.898 alpha=74.99 beta=58.33 gamma=46.68
Positions (direct):
V1 0.172 0.172 0.828
V2 0.828 0.828 0.172
Cd1 0.323 0.677 0.323
Cd2 0.677 0.323 0.677
W1 0.250 0.250 0.250
W2 0.750 0.750 0.750

Diffraction record for U4Se3S. The powder X-ray diffraction pattern is theoretical, not measured: it uses a structure optimized by DFT (GGA-PBE) and Cu Ka.
No peak broadening, texture or thermal motion is included.

Principal peaks in the range 2θ = 15–90°, low angle first:
2θ = 26.77°, I 28
2θ = 27.69°, I 26
2θ = 31.55°, I 100
2θ = 44.03°, I 13
2θ = 45.21°, I 49
2θ = 46.41°, I 12
2θ = 55.15°, I 13
2θ = 57.19°, I 13
2θ = 65.87°, I 12
2θ = 74.86°, I 23

Atomic structure:
Unit cell a=7.009 b=7.009 c=3.913 alpha=90.00 beta=90.00 gamma=108.13
Positions (direct):
U1 0.238 0.238 0.500
U2 0.243 0.757 0.000
U3 0.757 0.243 0.000
U4 0.762 0.762 0.500
Se1 0.000 0.500 0.500
Se2 0.500 0.000 0.500
Se3 0.500 0.500 0.000
S1 0.000 0.000 0.000